# 1
This entry pairs a crystal structure of TaMn6 with its theoretical PXRD pattern. Radiation: Cu Kα (weighted mean of Kα1 and Kα2). Structure: a structure optimized by DFT (PBE).

Structural model:
Cell: 7.696 4.592 9.604 Å, 90.00 90.00 90.00°
Fractional coordinates of all 28 atoms:
Ta 0.243 0.250 0.060
Ta 0.257 0.750 0.560
Ta 0.743 0.250 0.440
Ta 0.757 0.750 0.940
Mn 0.058 0.750 0.077
Mn 0.074 0.013 0.307
Mn 0.074 0.487 0.307
Mn 0.091 0.250 0.525
Mn 0.136 0.750 0.851
Mn 0.188 0.250 0.756
Mn 0.312 0.750 0.256
Mn 0.364 0.250 0.351
Mn 0.409 0.750 0.025
Mn 0.426 0.513 0.807
Mn 0.426 0.987 0.807
Mn 0.442 0.250 0.577
Mn 0.558 0.750 0.423
Mn 0.574 0.013 0.193
Mn 0.574 0.487 0.193
Mn 0.591 0.250 0.975
Mn 0.636 0.750 0.649
Mn 0.688 0.250 0.744
Mn 0.812 0.750 0.244
Mn 0.864 0.250 0.149
Mn 0.909 0.750 0.475
Mn 0.926 0.513 0.693
Mn 0.926 0.987 0.693
Mn 0.942 0.250 0.923

Top 10 peaks for 10° ≤ 2θ ≤ 80°, in order of rising 2θ:
- 24.40 deg, rel. 41, hkl 1 1 1
- 34.14 deg, rel. 23, hkl 0 1 3
- 39.29 deg, rel. 93, hkl 1 0 4
- 41.40 deg, rel. 100, hkl 3 1 1
- 41.64 deg, rel. 80, hkl 2 1 3
- 43.70 deg, rel. 27, hkl 0 2 2
- 46.03 deg, rel. 23, hkl 2 2 0
- 48.90 deg, rel. 24, hkl 1 0 5
- 72.56 deg, rel. 30, hkl 3 3 1
- 73.05 deg, rel. 29, hkl 5 0 4

=====

# 2
This entry pairs a crystal structure of SrMg14Ti with its theoretical PXRD pattern. Radiation: Cu Kα (weighted mean of Kα1 and Kα2). Structure: a structure optimized by DFT (PBE).

Structural model:
Cell: 6.563 6.563 10.359 Å, 90.00 90.00 120.00°
Fractional coordinates of all 16 atoms:
Sr 0.000 0.000 0.000
Mg 0.014 0.507 0.000
Mg 0.167 0.334 0.267
Mg 0.167 0.334 0.733
Mg 0.167 0.833 0.267
Mg 0.167 0.833 0.733
Mg 0.493 0.507 0.000
Mg 0.493 0.986 0.000
Mg 0.502 0.004 0.500
Mg 0.502 0.498 0.500
Mg 0.666 0.833 0.267
Mg 0.666 0.833 0.733
Mg 0.667 0.333 0.241
Mg 0.667 0.333 0.759
Mg 0.996 0.498 0.500
Ti 0.000 0.000 0.500

Top 10 peaks for 10° ≤ 2θ ≤ 80°, in order of rising 2θ:
- 15.59 deg, rel. 15, hkl 1 0 0
- 23.23 deg, rel. 12, hkl 1 0 2
- 31.48 deg, rel. 26, hkl 2 0 0
- 34.64 deg, rel. 24, hkl 0 0 4
- 36.05 deg, rel. 100, hkl 2 0 2
- 47.50 deg, rel. 16, hkl 2 0 4
- 56.05 deg, rel. 18, hkl 2 2 0
- 62.99 deg, rel. 16, hkl 2 0 6
- 67.59 deg, rel. 18, hkl 2 2 4
- 68.47 deg, rel. 14, hkl 4 0 2

=====

# 3
This entry pairs a crystal structure of Na3MgPd with its theoretical PXRD pattern. Radiation: Cu Kα (weighted mean of Kα1 and Kα2). Structure: a structure optimized by DFT (PBE).

Structural model:
Cell: 5.476 5.476 5.476 Å, 90.00 90.00 90.00°
Fractional coordinates of all 5 atoms:
Na 0.000 0.000 0.500
Na 0.000 0.500 0.000
Na 0.500 0.000 0.000
Mg 0.500 0.500 0.500
Pd 0.000 0.000 0.000

Top 10 peaks for 10° ≤ 2θ ≤ 80°, in order of rising 2θ:
- 16.19 deg, rel. 100, hkl 1 0 0
- 22.97 deg, rel. 93, hkl 1 1 0
- 32.71 deg, rel. 67, hkl 2 0 0
- 36.70 deg, rel. 52, hkl 2 1 0
- 40.35 deg, rel. 41, hkl 2 1 1
- 46.93 deg, rel. 47, hkl 2 2 0
- 49.97 deg, rel. 26, hkl 3 0 0
- 52.87 deg, rel. 19, hkl 3 1 0
- 63.57 deg, rel. 21, hkl 3 2 1
- 78.04 deg, rel. 19, hkl 4 2 0

=====

# 4
This entry pairs a crystal structure of Ce2CuBi4 with its theoretical PXRD pattern. Radiation: Cu Kα (weighted mean of Kα1 and Kα2). Structure: a structure optimized by DFT (PBE).

Structural model:
Cell: 4.582 4.582 9.515 Å, 90.00 90.00 90.00°
Fractional coordinates of all 7 atoms:
Ce 0.000 0.500 0.227
Ce 0.500 0.000 0.773
Cu 0.500 0.500 0.000
Bi 0.000 0.000 0.500
Bi 0.000 0.500 0.845
Bi 0.500 0.000 0.155
Bi 0.500 0.500 0.500

Top 10 peaks for 10° ≤ 2θ ≤ 80°, in order of rising 2θ:
- 27.02 deg, rel. 21, hkl 1 0 2
- 28.13 deg, rel. 36, hkl 0 0 3
- 29.11 deg, rel. 67, hkl 1 1 1
- 33.46 deg, rel. 100, hkl 1 1 2
- 39.33 deg, rel. 55, hkl 2 0 0
- 47.41 deg, rel. 15, hkl 1 1 4
- 49.05 deg, rel. 32, hkl 2 0 3
- 56.83 deg, rel. 19, hkl 2 2 0
- 65.12 deg, rel. 15, hkl 3 1 1
- 67.58 deg, rel. 27, hkl 3 1 2

=====

# 5
This entry pairs a crystal structure of TbUN2 with its theoretical PXRD pattern. Radiation: Cu Kα (weighted mean of Kα1 and Kα2). Structure: a structure optimized by DFT (PBE).

Structural model:
Cell: 3.455 3.455 11.439 Å, 90.00 90.00 120.00°
Fractional coordinates of all 8 atoms:
Tb 0.333 0.667 0.250
Tb 0.667 0.333 0.750
U 0.000 0.000 0.000
U 0.000 0.000 0.500
N 0.333 0.667 0.614
N 0.333 0.667 0.886
N 0.667 0.333 0.114
N 0.667 0.333 0.386

Top 10 peaks for 10° ≤ 2θ ≤ 80°, in order of rising 2θ:
- 29.86 deg, rel. 13, hkl 1 0 0
- 30.89 deg, rel. 20, hkl 1 0 1
- 31.28 deg, rel. 28, hkl 0 0 4
- 33.81 deg, rel. 100, hkl 1 0 2
- 38.23 deg, rel. 19, hkl 1 0 3
- 43.79 deg, rel. 14, hkl 1 0 4
- 53.01 deg, rel. 25, hkl 1 1 0
- 57.30 deg, rel. 24, hkl 1 0 6
- 62.85 deg, rel. 25, hkl 1 1 4
- 64.36 deg, rel. 16, hkl 2 0 2